Diffraction record for Ba3Co2WO9. The powder diffractogram is theoretical, not measured: it uses DFT lattice parameters and positions (GGA+U) and Cu Kα.
No peak broadening, texture or thermal motion is included.

Structure:
```
data_Ba3Co2WO9
_chemical_formula_sum 'Ba6 Co4 W2 O18'
_space_group_name_H-M_alt 'P 63 m c'
_space_group_IT_number 186
_space_group_name_Hall 'P 6c -2c'
_cell_length_a 5.8730
_cell_length_b 5.8730
_cell_length_c 14.2714
_cell_angle_alpha 90.00
_cell_angle_beta 90.00
_cell_angle_gamma 120.00
loop_
_atom_site_label
_atom_site_fract_x
_atom_site_fract_y
_atom_site_fract_z
_atom_site_occupancy
Ba1 0.0000 0.0000 0.0000 1
Ba2 0.3333 0.6667 0.1623 1
Ba3 0.3333 0.6667 0.8548 1
Co1 0.0000 0.0000 0.2541 1
Co2 0.3333 0.6667 0.3915 1
W1 0.3333 0.6667 0.5944 1
O1 0.0267 0.5134 0.5084 1
O2 0.1696 0.3392 0.3371 1
O3 0.1743 0.3487 0.6690 1
```

Principal peaks in the range 10° ≤ 2θ ≤ 90°, low angle first:
2theta, I_rel
25.64, 27.1
30.44, 100.0
30.61, 60.7
36.08, 13.9
40.21, 17.8
43.71, 35.3
54.09, 19.8
54.20, 23.7
63.34, 18.8
88.02, 17.1